Diffraction record for NaMn2SiSb. The powder diffractogram is theoretical, not measured: it uses a cell relaxed with GGA-PBE and Cu Kα X-rays.

Structural model:
```
data_NaMn2SiSb
_chemical_formula_sum 'Na1 Mn2 Si1 Sb1'
_cell_length_a 5.0354
_cell_length_b 5.0354
_cell_length_c 5.4741
_cell_angle_alpha 90.00
_cell_angle_beta 90.00
_cell_angle_gamma 90.00
_space_group_name_H-M_alt 'P 4/m m m'
_space_group_IT_number 123
_space_group_name_Hall '-P 4 2'
loop_
_atom_site_label
_atom_site_type_symbol
_atom_site_fract_x
_atom_site_fract_y
_atom_site_fract_z
Na1 Na 0.0000 0.0000 0.0000
Mn1 Mn 0.0000 0.5000 0.5000
Si1 Si 0.5000 0.5000 0.0000
Sb1 Sb 0.5000 0.5000 0.5000
```

Top 10 peaks for 2θ = 10–80°, sorted by position:
| (hkl) | two_theta | Rel. int. |
| --- | --- | --- |
| 0 0 1 | 16.2 | 100 |
| 1 0 0 | 17.6 | 82 |
| 1 0 1 | 24.0 | 65 |
| 0 0 2 | 32.7 | 45 |
| 2 0 0 | 35.7 | 71 |
| 2 0 1 | 39.4 | 42 |
| 2 1 1 | 43.5 | 27 |
| 2 0 2 | 49.2 | 54 |
| 2 2 0 | 51.3 | 24 |
| 2 2 2 | 62.2 | 26 |


Diffraction record for SmZn3Ga3. The powder diffractogram is theoretical, not measured: it uses a cell relaxed with GGA-PBE and Cu Kα X-rays.

Structural model:
```
data_SmZn3Ga3
_chemical_formula_sum 'Sm8 Zn24 Ga24'
_cell_length_a 11.7155
_cell_length_b 11.7155
_cell_length_c 11.7155
_cell_angle_alpha 90.00
_cell_angle_beta 90.00
_cell_angle_gamma 90.00
_space_group_name_H-M_alt 'F m -3 m'
_space_group_IT_number 225
_space_group_name_Hall '-F 4 2 3'
loop_
_atom_site_label
_atom_site_type_symbol
_atom_site_fract_x
_atom_site_fract_y
_atom_site_fract_z
Sm1 Sm 0.2500 0.2500 0.2500
Zn1 Zn 0.0000 0.0000 0.1512
Ga1 Ga 0.0000 0.0000 0.3440
```

Top 10 peaks for 2θ = 10–80°, sorted by position:
| (hkl) | two_theta | Rel. int. |
| --- | --- | --- |
| 2 0 0 | 15.1 | 19 |
| 2 2 0 | 21.5 | 75 |
| 2 2 2 | 26.4 | 75 |
| 4 0 0 | 30.5 | 46 |
| 4 2 0 | 34.2 | 33 |
| 4 4 2 | 46.5 | 100 |
| 6 2 0 | 49.2 | 60 |
| 6 4 4 | 65.7 | 11 |
| 6 6 0 | 67.9 | 25 |
| 8 4 2 | 74.2 | 21 |


Diffraction record for NdHo2Th3. The powder diffractogram is theoretical, not measured: it uses a cell relaxed with GGA-PBE and Cu Kα X-rays.

Structural model:
```
data_NdHo2Th3
_chemical_formula_sum 'Nd4 Ho8 Th12'
_cell_length_a 17.5230
_cell_length_b 7.1384
_cell_length_c 6.2087
_cell_angle_alpha 90.00
_cell_angle_beta 90.02
_cell_angle_gamma 90.00
_space_group_name_H-M_alt 'C 1 2/c 1'
_space_group_IT_number 15
_space_group_name_Hall '-C 2yc'
loop_
_atom_site_label
_atom_site_type_symbol
_atom_site_fract_x
_atom_site_fract_y
_atom_site_fract_z
Nd1 Nd 0.0000 0.1308 0.2500
Ho1 Ho 0.1694 0.1267 0.5835
Th1 Th 0.0000 0.3803 0.7500
Th2 Th 0.1665 0.3800 0.0807
```

Top 10 peaks for 2θ = 10–80°, sorted by position:
| (hkl) | two_theta | Rel. int. |
| --- | --- | --- |
| 2 0 2 | 30.6 | 100 |
| 4 0 -2 | 35.5 | 51 |
| 0 2 3 | 51.0 | 31 |
| 0 4 0 | 51.2 | 6 |
| 2 0 -4 | 60.7 | 18 |
| 10 0 -2 | 60.7 | 11 |
| 2 4 2 | 60.8 | 14 |
| 4 0 4 | 63.6 | 3 |
| 12 0 0 | 63.8 | 9 |
| 8 4 2 | 75.2 | 4 |


Diffraction record for Tb2Ni4GeP3. The powder diffractogram is theoretical, not measured: it uses a cell relaxed with GGA-PBE and Cu Kα X-rays.

Structural model:
```
data_Tb2Ni4GeP3
_chemical_formula_sum 'Tb2 Ni4 Ge1 P3'
_cell_length_a 3.9412
_cell_length_b 3.9412
_cell_length_c 9.5081
_cell_angle_alpha 90.00
_cell_angle_beta 90.00
_cell_angle_gamma 90.00
_space_group_name_H-M_alt 'P -4 m 2'
_space_group_IT_number 115
_space_group_name_Hall 'P -4 -2'
loop_
_atom_site_label
_atom_site_type_symbol
_atom_site_fract_x
_atom_site_fract_y
_atom_site_fract_z
Tb1 Tb 0.0000 0.5000 0.2428
Ni1 Ni 0.0000 0.0000 0.0000
Ni2 Ni 0.0000 0.5000 0.6329
Ni3 Ni 0.5000 0.5000 0.0000
Ge1 Ge 0.0000 0.0000 0.5000
P1 P 0.0000 0.5000 0.8699
P2 P 0.5000 0.5000 0.5000
```

Top 10 peaks for 2θ = 10–80°, sorted by position:
| (hkl) | two_theta | Rel. int. |
| --- | --- | --- |
| 1 0 1 | 24.4 | 29 |
| 1 1 0 | 32.1 | 17 |
| 1 0 3 | 36.4 | 62 |
| 1 1 2 | 37.4 | 100 |
| 2 0 0 | 46.1 | 47 |
| 1 0 5 | 53.5 | 24 |
| 2 1 3 | 60.1 | 28 |
| 2 2 0 | 67.2 | 15 |
| 2 1 5 | 73.2 | 19 |
| 3 1 2 | 79.5 | 21 |